Structure and calculated X-ray powder pattern of TbNd3Y5 (a structure optimized by DFT (GGA-PBE); copper Kα).

Atomic structure:
```
TbNd3Y5
1.0
-4.387 4.387 7.805
4.387 -4.387 7.805
4.387 4.387 -7.805
Tb Nd Y
2 6 10
Cartesian
4.387 0.000 3.902
0.000 4.387 3.902
5.412 1.025 0.000
0.000 0.000 3.902
1.025 3.362 0.000
3.362 1.025 7.805
0.000 0.000 11.707
-1.025 3.362 7.805
0.000 0.000 0.000
2.551 1.836 -2.143
2.551 -1.836 5.661
2.551 1.836 2.143
2.551 -1.836 9.948
0.000 0.000 7.805
1.836 6.224 -2.143
1.836 2.551 5.661
1.836 6.224 2.143
1.836 2.551 9.948
```

Peak list (10 most intense, 2θ from 10° to 80°, by angle)
2θ/deg, I/Imax
28.49, 53.2
28.78, 50.9
30.66, 100.0
34.30, 13.7
36.79, 15.7
37.40, 22.6
42.84, 29.2
46.55, 14.2
52.18, 22.8
55.65, 13.3



Structure and calculated X-ray powder pattern of Fe11Mo6C5 (a structure optimized by DFT (GGA-PBE); copper Kα).

Atomic structure:
```
Fe11Mo6C5
1.0
5.490 -3.822 0.000
5.490 3.822 0.000
-3.335 0.000 5.635
Fe Mo C
11 6 5
Cartesian
0.000 0.000 0.000
1.836 2.565 3.522
2.198 0.000 1.152
5.809 2.565 2.113
3.823 1.262 2.817
1.803 0.000 3.734
5.842 0.000 1.901
3.823 -1.262 2.817
1.836 -2.565 3.522
5.447 0.000 4.483
5.809 -2.565 2.113
-1.075 0.000 4.030
4.092 1.519 0.220
3.553 1.519 5.414
4.092 -1.519 0.220
3.553 -1.519 5.414
8.720 0.000 1.605
2.282 1.843 1.733
5.363 1.843 3.902
5.490 0.000 0.000
2.282 -1.843 1.733
5.363 -1.843 3.902
```

Peak list (10 most intense, 2θ from 10° to 80°, by angle)
2θ/deg, I/Imax
38.09, 28.7
39.75, 46.4
40.61, 32.5
41.05, 32.2
41.98, 38.3
42.45, 28.6
43.29, 100.0
43.70, 69.7
45.09, 34.0
45.63, 31.9



Structure and calculated X-ray powder pattern of Pm3Y (a structure optimized by DFT (GGA-PBE); copper Kα).

Atomic structure:
```
Pm3Y
1.0
-1.841 5.852 3.177
1.841 -5.852 3.177
1.841 5.852 -3.177
Pm Y
3 1
Cartesian
0.000 0.000 0.000
1.841 2.935 -1.064
0.000 2.916 2.113
0.000 5.852 0.005
```

Peak list (10 most intense, 2θ from 10° to 80°, by angle)
2θ/deg, I/Imax
28.04, 24.3
30.55, 25.0
32.01, 100.0
41.94, 16.3
49.52, 6.5
49.66, 12.9
55.23, 21.1
59.32, 7.5
59.44, 15.0
60.22, 10.9



Structure and calculated X-ray powder pattern of Nd2Ho3Se6 (a structure optimized by DFT (GGA-PBE); copper Kα).

Atomic structure:
```
Nd2Ho3Se6
1.0
3.563 -6.140 0.000
3.563 6.140 0.000
-2.369 0.000 6.764
Nd Ho Se
2 3 6
Cartesian
3.563 4.114 0.000
3.563 -4.114 0.000
-1.184 0.000 3.382
2.379 2.037 3.382
2.379 -2.037 3.382
0.029 2.008 5.003
1.248 0.000 1.739
0.029 -2.008 5.003
4.729 2.008 1.761
3.510 0.000 5.025
4.729 -2.008 1.761
```

Peak list (10 most intense, 2θ from 10° to 80°, by angle)
2θ/deg, I/Imax
13.09, 8.1
30.72, 100.0
43.85, 37.2
44.08, 24.6
44.25, 12.2
54.58, 6.7
54.81, 12.8
64.02, 8.0
72.38, 11.1
72.75, 11.0



Structure and calculated X-ray powder pattern of Pm3SeS3 (a structure optimized by DFT (GGA-PBE); copper Kα).

Atomic structure:
```
Pm3SeS3
1.0
11.632 0.000 0.000
0.000 11.632 0.000
0.000 0.000 5.663
Pm Se S
12 4 12
Cartesian
1.422 4.322 0.000
1.448 1.448 2.832
1.494 7.238 2.832
4.322 1.422 0.000
4.369 7.264 0.000
4.394 10.138 2.832
7.238 1.494 2.832
7.264 4.369 0.000
7.311 10.211 0.000
10.138 4.394 2.832
10.185 10.185 2.832
10.211 7.311 0.000
1.464 10.168 2.832
4.352 4.352 0.000
7.280 7.280 0.000
10.168 1.464 2.832
1.375 4.340 2.832
1.476 7.191 0.000
1.550 1.550 0.000
4.267 7.366 2.832
4.340 1.375 2.832
4.442 10.156 0.000
7.191 1.476 0.000
7.293 10.258 2.832
7.366 4.267 2.832
10.083 10.083 0.000
10.156 4.442 0.000
10.258 7.293 2.832
```

Peak list (10 most intense, 2θ from 10° to 80°, by angle)
2θ/deg, I/Imax
17.42, 37.4
19.03, 17.1
26.79, 48.9
30.75, 100.0
31.60, 46.8
44.04, 36.2
44.67, 69.9
52.30, 17.2
55.20, 36.8
72.71, 15.8



Structure and calculated X-ray powder pattern of TlMoBr (a structure optimized by DFT (GGA-PBE); copper Kα).

Atomic structure:
```
TlMoBr
1.0
0.000 2.834 8.345
1.583 0.000 8.345
1.583 2.834 0.000
Tl Mo Br
1 1 1
Cartesian
0.000 0.000 0.000
1.583 2.834 5.789
1.583 2.834 12.162
```

Peak list (10 most intense, 2θ from 10° to 80°, by angle)
2θ/deg, I/Imax
10.60, 45.9
21.29, 31.7
31.56, 45.0
32.18, 18.8
32.84, 19.5
36.28, 100.0
38.39, 14.3
42.45, 25.2
45.70, 14.2
59.33, 25.2



Structure and calculated X-ray powder pattern of Tb7Pr2In2 (a structure optimized by DFT (GGA-PBE); copper Kα).

Atomic structure:
```
Tb7Pr2In2
1.0
5.919 -3.381 0.000
5.919 3.381 0.000
-0.015 0.000 9.134
Tb Pr In
7 2 2
Cartesian
0.000 0.000 0.000
2.958 1.691 2.704
8.865 -1.691 6.430
2.958 -1.691 2.704
8.865 1.691 6.430
5.919 0.000 1.666
5.904 0.000 7.468
5.912 1.780 4.567
5.912 -1.780 4.567
3.187 0.000 9.134
8.637 0.000 0.000
```

Peak list (10 most intense, 2θ from 10° to 80°, by angle)
2θ/deg, I/Imax
24.64, 48.3
28.15, 80.7
30.20, 88.3
32.79, 25.7
33.04, 45.7
33.12, 53.3
36.38, 100.0
41.75, 52.3
57.33, 27.9
66.16, 35.3



Structure and calculated X-ray powder pattern of Be7Ru (a structure optimized by DFT (GGA-PBE); copper Kα).

Atomic structure:
```
Be7Ru
1.0
0.000 3.316 3.316
3.316 0.000 3.316
3.316 3.316 0.000
Be Ru
7 1
Cartesian
0.000 0.000 0.000
1.658 1.658 0.000
1.658 0.000 1.658
3.316 1.658 1.658
0.000 1.658 1.658
1.658 3.316 1.658
1.658 1.658 3.316
3.316 3.316 3.316
```

Peak list (10 most intense, 2θ from 10° to 80°, by angle)
2θ/deg, I/Imax
23.23, 100.0
26.89, 52.2
38.39, 40.4
45.35, 50.0
47.49, 31.6
55.42, 14.8
60.89, 20.4
62.65, 18.7
69.43, 13.6
74.32, 14.8